Theoretical powder X-ray diffraction pattern of LiErSe2 for Cu Kα, from a structure optimized by DFT (GGA-PBE).
Lines closer than 0.1° are merged.

Main lines, by intensity (2θ from 15° to 90°):
Position (°2θ), d [Å], I/Imax
31.22, 2.865, 100.0
45.62, 1.989, 69.6
16.04, 5.526, 57.8
21.94, 4.052, 56.4
32.40, 2.763, 45.3
56.31, 1.634, 37.2
44.74, 2.026, 36.9
35.29, 2.543, 33.9
39.48, 2.283, 25.0
83.10, 1.162, 24.6

Structure:
```
LiErSe2
1.0
4.0516 0.0000 0.0000
0.0000 4.0516 0.0000
0.0000 0.0000 5.5257
Li Er Se
1 1 2
Direct
0.0000 0.0000 0.0000
0.5000 0.5000 0.5000
0.0000 0.0000 0.5000
0.5000 0.5000 0.0000
```